[1]
Calculated X-ray diffraction stick pattern
Compound: Hg2PbSO6
Radiation: copper Kα
Structure: a crystal structure in Alexandria, relaxed with GGA-PBE
Kinematic intensities with the Lorentz-polarization factor, no thermal factor.

Cell lengths 5.7416, 5.7416, 5.7416 Å; angles 59.28, 59.28, 59.28 degrees
Sites, in units of the cell vectors:
1 Hg 0.2453 0.2453 0.2453
2 Hg 0.7547 0.7547 0.7547
3 Pb 0.0000 0.0000 0.0000
4 S 0.5000 0.5000 0.5000
5 O 0.1926 0.6810 0.4125
6 O 0.3190 0.5875 0.8074
7 O 0.4125 0.1926 0.6810
8 O 0.5875 0.8074 0.3190
9 O 0.6810 0.4125 0.1926
10 O 0.8074 0.3190 0.5875

Top 10 peaks for 10° ≤ 2θ ≤ 90°, low angle first:
19.11°, rel. 172; 31.16°, rel. 1000; 31.51°, rel. 917; 44.90°, rel. 408; 55.22°, rel. 187; 55.88°, rel. 409; 56.10°, rel. 215; 64.98°, rel. 138; 74.01°, rel. 187; 74.57°, rel. 174



[2]
Calculated X-ray diffraction stick pattern
Compound: HgPbSe2O6
Radiation: copper Kα
Structure: a crystal structure in Alexandria, relaxed with GGA-PBE
Kinematic intensities with the Lorentz-polarization factor, no thermal factor.

Cell lengths 7.3695, 7.3695, 7.7550 Å; angles 102.83, 102.83, 108.79 degrees
Sites, in units of the cell vectors:
1 Hg 0.0590 0.9410 0.7500
2 Hg 0.9410 0.0590 0.2500
3 Pb 0.2815 0.7185 0.2500
4 Pb 0.7185 0.2815 0.7500
5 Se 0.1976 0.3898 0.7121
6 Se 0.3898 0.1976 0.2121
7 Se 0.6102 0.8024 0.7879
8 Se 0.8024 0.6102 0.2879
9 O 0.0434 0.7849 0.4300
10 O 0.1279 0.4929 0.8923
11 O 0.2151 0.9566 0.0700
12 O 0.2286 0.3055 0.2875
13 O 0.3055 0.2286 0.7875
14 O 0.4929 0.1279 0.3923
15 O 0.5071 0.8721 0.6077
16 O 0.6945 0.7714 0.2125
17 O 0.7714 0.6945 0.7125
18 O 0.7849 0.0434 0.9300
19 O 0.8721 0.5071 0.1077
20 O 0.9566 0.2151 0.5700

Top 10 peaks for 10° ≤ 2θ ≤ 90°, low angle first:
13.39°, rel. 211; 22.42°, rel. 107; 24.84°, rel. 531; 24.96°, rel. 138; 25.88°, rel. 1000; 29.83°, rel. 227; 32.20°, rel. 165; 33.25°, rel. 158; 41.73°, rel. 239; 47.24°, rel. 134



[3]
Calculated X-ray diffraction stick pattern
Compound: HgPbSeO
Radiation: copper Kα
Structure: a crystal structure in Alexandria, relaxed with GGA-PBE
Kinematic intensities with the Lorentz-polarization factor, no thermal factor.

Cell lengths 13.6240, 13.6240, 13.6240 Å; angles 17.42, 17.42, 17.42 degrees
Sites, in units of the cell vectors:
1 Hg 0.2463 0.2463 0.2463
2 Hg 0.7537 0.7537 0.7537
3 Pb 0.0000 0.0000 0.0000
4 Pb 0.5000 0.5000 0.5000
5 Se 0.3809 0.3809 0.3809
6 Se 0.6191 0.6191 0.6191
7 O 0.1946 0.1946 0.1946
8 O 0.8054 0.8054 0.8054

Top 10 peaks for 10° ≤ 2θ ≤ 90°, low angle first:
26.47°, rel. 724; 26.58°, rel. 221; 30.69°, rel. 1000; 43.88°, rel. 448; 44.03°, rel. 391; 52.02°, rel. 346; 54.50°, rel. 206; 72.45°, rel. 182; 72.66°, rel. 146; 80.76°, rel. 138